(1)
Starting from a crystal structure in Alexandria, relaxed with GGA-PBE, the XRD peak list of VGe2Mo was simulated for Cu Kα, 1.54184 Å.
Kinematic intensities with the Lorentz-polarization factor, no thermal factor.

Peak list (10 most intense, 15° ≤ 2θ ≤ 90°, sorted by position)
| two_theta | I/Imax |
| --- | --- |
| 33.96 | 9.5 |
| 36.01 | 59.5 |
| 41.63 | 100.0 |
| 47.77 | 19.7 |
| 49.83 | 22.3 |
| 60.77 | 28.2 |
| 71.51 | 9.0 |
| 76.36 | 15.7 |
| 80.77 | 24.3 |
| 84.74 | 12.1 |

Crystal structure
Lattice parameters (Å, degrees): 3.0484 3.0484 7.6161 90.00 90.00 120.00
Sites, in units of the cell vectors:
V 0.0000 0.0000 0.0000
Ge 0.3333 0.6667 0.7542
Ge 0.6667 0.3333 0.2458
Mo 0.0000 0.0000 0.5000

***

(2)
Starting from a crystal structure in Alexandria, relaxed with GGA-PBE, the XRD peak list of V7Ge2Mo2 was simulated for Cu Kα, 1.54184 Å.
Kinematic intensities with the Lorentz-polarization factor, no thermal factor.

Peak list (10 most intense, 15° ≤ 2θ ≤ 90°, sorted by position)
| two_theta | I/Imax |
| --- | --- |
| 21.26 | 43.4 |
| 30.94 | 37.7 |
| 36.06 | 46.4 |
| 37.06 | 72.9 |
| 38.90 | 100.0 |
| 41.00 | 44.3 |
| 41.26 | 73.5 |
| 43.21 | 68.8 |
| 44.15 | 33.2 |
| 46.90 | 37.0 |

Crystal structure
Lattice parameters (Å, degrees): 5.8747 5.8747 5.3864 97.65 97.65 111.41
Sites, in units of the cell vectors:
V 0.0000 0.0000 0.0000
V 0.0867 0.5888 0.8160
V 0.3270 0.3270 0.3712
V 0.4112 0.9133 0.1840
V 0.5888 0.0867 0.8160
V 0.6730 0.6730 0.6288
V 0.9133 0.4112 0.1840
Ge 0.1354 0.8646 0.5000
Ge 0.8646 0.1354 0.5000
Mo 0.3187 0.3187 0.8580
Mo 0.6813 0.6813 0.1420

***

(3)
Starting from a crystal structure in Alexandria, relaxed with GGA-PBE, the XRD peak list of V3Ge2Mo was simulated for Cu Kα, 1.54184 Å.
Kinematic intensities with the Lorentz-polarization factor, no thermal factor.

Peak list (10 most intense, 15° ≤ 2θ ≤ 90°, sorted by position)
| two_theta | I/Imax |
| --- | --- |
| 36.52 | 66.6 |
| 37.77 | 47.4 |
| 38.80 | 42.9 |
| 39.74 | 31.1 |
| 41.16 | 100.0 |
| 41.86 | 58.4 |
| 42.37 | 59.3 |
| 42.96 | 46.8 |
| 45.54 | 66.7 |
| 58.15 | 34.8 |

Crystal structure
Lattice parameters (Å, degrees): 7.7527 7.7527 7.8579 111.54 111.54 23.61
Sites, in units of the cell vectors:
V 0.0619 0.0619 0.1420
V 0.3150 0.3150 0.5970
V 0.3641 0.3641 0.0339
V 0.6359 0.6359 0.9661
V 0.6850 0.6850 0.4030
V 0.9381 0.9381 0.8580
Ge 0.2485 0.2485 0.2155
Ge 0.4947 0.4947 0.6721
Ge 0.5053 0.5053 0.3279
Ge 0.7515 0.7515 0.7845
Mo 0.1118 0.1118 0.5960
Mo 0.8882 0.8882 0.4040